Structure and simulated X-ray powder pattern of Ti6H2CN (a cell relaxed with PBE; Cu Kα).
Neutral-atom scattering factors, no anomalous dispersion.

Largest 10 diffraction maxima, in order of rising 2θ, 10 to 90 degrees two-theta:
| 2θ (°) | d/Å | I/Imax | hkl |
| --- | --- | --- | --- |
| 21.44 | 4.145 | 49 | 1 1 0 |
| 21.63 | 4.109 | 27 | 0 0 1 |
| 30.64 | 2.918 | 15 | 1 1 1 |
| 37.70 | 2.386 | 100 | 2 0 1 |
| 43.68 | 2.072 | 46 | 2 2 0 |
| 44.07 | 2.055 | 22 | 0 0 2 |
| 49.20 | 1.852 | 18 | 2 2 1 |
| 63.48 | 1.465 | 13 | 4 0 0 |
| 63.79 | 1.459 | 26 | 2 2 2 |
| 76.25 | 1.249 | 22 | 4 2 1 |

Cell and atoms:
a b c (Å): 5.861 5.861 4.109
angles (deg): 90.00 90.00 90.00
Space group P4mm (No. 99)
Unique sites:
Ti: 0.000 0.000 0.000 (multiplicity 1)
Ti: 0.249 0.249 0.500 (multiplicity 4)
Ti: 0.500 0.500 0.000 (multiplicity 1)
H: 0.000 0.500 0.502 (multiplicity 2)
C: 0.500 0.500 0.500 (multiplicity 1)
N: 0.000 0.000 0.500 (multiplicity 1)

***

Structure and simulated X-ray powder pattern of CrOsRh2 (a cell relaxed with PBE; Cu Kα).
Neutral-atom scattering factors, no anomalous dispersion.

Largest 10 diffraction maxima, in order of rising 2θ, 10 to 90 degrees two-theta:
| 2θ (°) | d/Å | I/Imax | hkl |
| --- | --- | --- | --- |
| 26.34 | 3.383 | 27 | 1 0 1 |
| 41.21 | 2.190 | 100 | 1 1 2 |
| 42.62 | 2.121 | 8 | 1 0 3 |
| 47.20 | 1.926 | 17 | 0 0 4 |
| 48.33 | 1.883 | 31 | 2 0 0 |
| 69.86 | 1.346 | 20 | 2 0 4 |
| 70.76 | 1.332 | 10 | 2 2 0 |
| 83.62 | 1.156 | 13 | 1 1 6 |
| 85.32 | 1.138 | 27 | 3 1 2 |
| 89.48 | 1.095 | 11 | 2 2 4 |

Cell and atoms:
a b c (Å): 3.766 3.766 7.703
angles (deg): 90.00 90.00 90.00
Space group I4/mmm (No. 139)
Unique sites:
Cr: 0.000 0.000 0.000 (multiplicity 2)
Os: 0.000 0.000 0.500 (multiplicity 2)
Rh: 0.000 0.500 0.250 (multiplicity 4)